This entry pairs a crystal structure of Er2Ag2TeS3 with its calculated powder diffraction line list. Radiation: Cu Kα (λ = 1.5418 Å). Structure: a crystal structure in OQMD, relaxed with GGA-PBE.
Kinematic intensities with the Lorentz-polarization factor, no thermal factor.

Most intense lines, 2θ from 5° to 70°, by intensity:
2θ/deg, intensity, hkl
36.78, 100, 4 0 0
26.75, 81, 2 2 0
25.37, 72, 1 1 1
34.00, 71, 2 2 -1
39.60, 58, 0 4 0
28.98, 54, 0 2 1
47.82, 54, 0 2 2
46.68, 47, 2 0 -2
35.72, 46, 3 1 -1
62.79, 40, 4 2 2

Cell and atoms:
```
data_Er2Ag2TeS3
_chemical_formula_sum 'Er4 Ag4 Te2 S6'
_cell_length_a 9.7907
_cell_length_b 9.1029
_cell_length_c 4.1894
_cell_angle_alpha 90.00
_cell_angle_beta 91.89
_cell_angle_gamma 90.00
_symmetry_space_group_name_H-M 'C 1 m 1'
_symmetry_Int_Tables_number 8
loop_
_symmetry_equiv_pos_as_xyz
'x,y,z'
'x,-y,z'
'x+1/2,y+1/2,z'
'x+1/2,-y+1/2,z'
loop_
_atom_site_label
_atom_site_type_symbol
_atom_site_fract_x
_atom_site_fract_y
_atom_site_fract_z
_atom_site_occupancy
Er1 Er 0.0000 0.0000 0.0000 1
Er2 Er 0.0372 0.5000 0.4316 1
Ag1 Ag 0.2649 0.2497 0.2615 1
Te1 Te 0.3110 0.0000 0.9051 1
S1 S 0.0172 0.1983 0.4880 1
S2 S 0.2191 0.5000 0.9580 1
```